Entry 1:
For La4Pm10Ho, a structure optimized by DFT (PBE) gives the computed powder diffraction line list in this record (Cu Kα).
No peak broadening, texture or thermal motion is included.

Structural model:
a = 10.016 Å, b = 10.016 Å, c = 10.642 Å
α = 90.00°, β = 90.00°, γ = 90.00°
Space group I4/m (No. 87)
One atom of each set of equivalent atoms:
La1 0.058 0.671 0.000
Pm1 0.000 0.500 0.250
Pm2 0.115 0.795 0.338
Ho1 0.000 0.000 0.000

Peak list (10 most intense, 2θ = 10–80°, sorted by position)
| hkl | two_theta | d (Å) | I_rel |
| --- | --- | --- | --- |
| 1 0 3 | 26.66 | 3.344 | 88.8 |
| 3 0 1 | 28.01 | 3.186 | 92.3 |
| 1 3 0 | 28.17 | 3.167 | 100.0 |
| 1 2 3 | 32.19 | 2.781 | 73.5 |
| 1 3 2 | 32.91 | 2.722 | 93.1 |
| 2 3 1 | 33.34 | 2.688 | 38.9 |
| 4 2 0 | 40.27 | 2.240 | 30.1 |
| 3 2 3 | 41.28 | 2.187 | 33.6 |
| 4 2 2 | 43.86 | 2.064 | 38.3 |
| 3 1 6 | 59.76 | 1.548 | 32.6 |

Entry 2:
For La8PmHo3, a structure optimized by DFT (PBE) gives the computed powder diffraction line list in this record (Cu Kα).
No peak broadening, texture or thermal motion is included.

Structural model:
a = 6.856 Å, b = 11.271 Å, c = 11.717 Å
α = 90.00°, β = 90.00°, γ = 90.00°
Space group Immm (No. 71)
One atom of each set of equivalent atoms:
La1 0.000 0.165 0.248
La2 0.221 0.277 0.500
Pm1 0.000 0.000 0.500
Ho1 0.000 0.000 0.000
Ho2 0.000 0.500 0.276

Peak list (10 most intense, 2θ = 10–80°, sorted by position)
| hkl | two_theta | d (Å) | I_rel |
| --- | --- | --- | --- |
| 1 1 2 | 21.45 | 4.142 | 17.8 |
| 2 0 2 | 30.20 | 2.959 | 41.1 |
| 0 0 4 | 30.52 | 2.929 | 75.6 |
| 1 3 2 | 31.14 | 2.872 | 100.0 |
| 2 2 2 | 34.23 | 2.620 | 34.5 |
| 2 2 4 | 43.70 | 2.071 | 16.7 |
| 3 3 2 | 49.19 | 1.852 | 20.8 |
| 1 3 6 | 54.63 | 1.680 | 16.8 |
| 2 2 6 | 56.65 | 1.625 | 17.3 |
| 2 6 4 | 64.94 | 1.436 | 15.8 |

Entry 3:
For La4Pm7Ho, a structure optimized by DFT (PBE) gives the computed powder diffraction line list in this record (Cu Kα).
No peak broadening, texture or thermal motion is included.

Structural model:
a = 6.411 Å, b = 7.358 Å, c = 9.208 Å
α = 89.89°, β = 76.50°, γ = 89.89°
Space group P-1 (No. 2)
One atom of each set of equivalent atoms:
La1 0.219 0.252 0.330
La2 0.278 0.999 0.668
Pm1 0.001 0.748 0.001
Pm2 0.223 0.747 0.326
Pm3 0.282 0.500 0.671
Pm4 0.500 0.000 0.000
Ho1 0.500 0.500 0.000

Peak list (10 most intense, 2θ = 10–80°, sorted by position)
| hkl | two_theta | d (Å) | I_rel |
| --- | --- | --- | --- |
| 1 2 0 | 28.16 | 3.168 | 38.8 |
| 0 0 3 | 29.94 | 2.985 | 75.2 |
| 2 0 2 | 30.89 | 2.894 | 53.7 |
| -1 2 1 | 31.04 | 2.881 | 100.0 |
| 2 0 -1 | 32.55 | 2.751 | 43.5 |
| 1 -2 2 | 32.63 | 2.744 | 80.8 |
| 3 2 1 | 49.31 | 1.848 | 37.7 |
| 2 0 -4 | 55.89 | 1.645 | 24.5 |
| 3 2 -2 | 58.80 | 1.570 | 33.3 |
| 0 4 -3 | 58.98 | 1.566 | 22.0 |

Entry 4:
For La10PmHo4, a structure optimized by DFT (PBE) gives the computed powder diffraction line list in this record (Cu Kα).
No peak broadening, texture or thermal motion is included.

Structural model:
a = 11.591 Å, b = 11.591 Å, c = 7.954 Å
α = 90.00°, β = 90.00°, γ = 90.00°
Space group I4/mmm (No. 139)
One atom of each set of equivalent atoms:
La1 0.000 0.218 0.210
La2 0.000 0.500 0.250
Pm1 0.000 0.000 0.500
Ho1 0.229 0.229 0.500

Peak list (10 most intense, 2θ = 10–80°, sorted by position)
| hkl | two_theta | d (Å) | I_rel |
| --- | --- | --- | --- |
| 2 0 2 | 27.19 | 3.279 | 47.5 |
| 3 2 1 | 29.98 | 2.981 | 40.8 |
| 4 0 0 | 30.86 | 2.898 | 100.0 |
| 2 2 2 | 31.34 | 2.854 | 97.1 |
| 3 1 2 | 33.24 | 2.695 | 28.5 |
| 3 3 2 | 40.04 | 2.252 | 29.9 |
| 4 4 0 | 44.20 | 2.049 | 29.8 |
| 4 0 4 | 56.10 | 1.640 | 31.1 |
| 4 4 4 | 65.44 | 1.426 | 27.9 |
| 7 3 2 | 65.69 | 1.421 | 22.8 |

Entry 5:
For La3Pm8Ho2, a structure optimized by DFT (PBE) gives the computed powder diffraction line list in this record (Cu Kα).
No peak broadening, texture or thermal motion is included.

Structural model:
a = 20.595 Å, b = 7.764 Å, c = 5.796 Å
α = 90.00°, β = 90.09°, γ = 90.00°
Space group C2/m (No. 12)
One atom of each set of equivalent atoms:
La1 0.000 0.000 0.000
La2 0.000 0.294 0.500
Pm1 0.109 0.291 0.000
Pm2 0.137 0.000 0.498
Pm3 0.176 0.500 0.502
Ho1 0.241 0.000 0.997

Peak list (10 most intense, 2θ = 10–80°, sorted by position)
| hkl | two_theta | d (Å) | I_rel |
| --- | --- | --- | --- |
| 2 2 0 | 24.51 | 3.632 | 24.8 |
| 5 1 1 | 28.98 | 3.081 | 37.5 |
| 6 0 -1 | 30.26 | 2.953 | 36.5 |
| 0 0 2 | 30.86 | 2.898 | 46.0 |
| 4 2 -1 | 32.77 | 2.733 | 100.0 |
| 8 0 0 | 34.89 | 2.571 | 22.6 |
| 2 2 -2 | 39.79 | 2.265 | 13.9 |
| 0 4 0 | 46.80 | 1.941 | 11.2 |
| 4 2 -3 | 56.10 | 1.640 | 21.6 |
| 0 4 2 | 57.11 | 1.613 | 11.8 |

Entry 6:
For La4Pm8Ho, a structure optimized by DFT (PBE) gives the computed powder diffraction line list in this record (Cu Kα).
No peak broadening, texture or thermal motion is included.

Structural model:
a = 7.5433 Å, b = 7.5433 Å, c = 28.1923 Å
α = 90.00°, β = 90.00°, γ = 120.00°
Space group R-3m (No. 166, hexagonal axes)
One atom of each set of equivalent atoms:
La1 0.0000 0.0000 0.0000
La2 0.0000 0.5000 0.0000
Pm1 0.0000 0.0000 0.2149
Pm2 0.0390 0.5195 0.7689
Ho1 0.0000 0.0000 0.5000

Peak list (10 most intense, 2θ = 10–80°, sorted by position)
| hkl | two_theta | d (Å) | I_rel |
| --- | --- | --- | --- |
| 0 2 1 | 27.49 | 3.245 | 14.5 |
| 0 0 9 | 28.49 | 3.132 | 29.5 |
| 0 2 4 | 30.16 | 2.964 | 100.0 |
| 2 0 5 | 31.66 | 2.826 | 40.5 |
| 2 0 8 | 37.54 | 2.396 | 27.1 |
| 2 2 0 | 48.26 | 1.886 | 30.7 |
| 0 2 13 | 50.52 | 1.807 | 14.9 |
| 2 2 9 | 57.00 | 1.616 | 20.7 |
| 4 0 4 | 57.97 | 1.591 | 13.6 |
| 2 2 18 | 79.53 | 1.205 | 11.9 |

Entry 7:
For La3PmHo5, a structure optimized by DFT (PBE) gives the computed powder diffraction line list in this record (Cu Kα).
No peak broadening, texture or thermal motion is included.

Structural model:
a = 12.434 Å, b = 8.256 Å, c = 12.736 Å
α = 90.00°, β = 99.62°, γ = 90.00°
Space group C2/m (No. 12)
One atom of each set of equivalent atoms:
La1 0.000 0.000 0.000
La2 0.000 0.000 0.500
La3 0.123 0.500 0.215
La4 0.232 0.500 0.466
Pm1 0.141 0.000 0.262
Ho1 0.000 0.321 0.000
Ho2 0.053 0.500 0.624
Ho3 0.130 0.198 0.782
Ho4 0.241 0.500 0.978

Peak list (10 most intense, 2θ = 10–80°, sorted by position)
| hkl | two_theta | d (Å) | I_rel |
| --- | --- | --- | --- |
| 0 2 0 | 21.53 | 4.128 | 24.8 |
| 2 2 1 | 27.64 | 3.228 | 44.8 |
| 0 0 4 | 28.43 | 3.139 | 30.3 |
| 3 1 2 | 30.03 | 2.975 | 25.2 |
| 4 0 -2 | 30.22 | 2.957 | 100.0 |
| 2 2 2 | 30.89 | 2.894 | 14.9 |
| 2 2 -3 | 32.19 | 2.780 | 23.0 |
| 4 0 2 | 34.65 | 2.589 | 21.9 |
| 2 2 -4 | 37.00 | 2.430 | 16.9 |
| 3 3 -1 | 39.47 | 2.283 | 17.7 |

Entry 8:
For La3Pm3Ho8, a structure optimized by DFT (PBE) gives the computed powder diffraction line list in this record (Cu Kα).
No peak broadening, texture or thermal motion is included.

Structural model:
a = 5.713 Å, b = 10.814 Å, c = 15.332 Å
α = 90.00°, β = 90.00°, γ = 90.00°
Space group Immm (No. 71)
One atom of each set of equivalent atoms:
La1 0.000 0.000 0.000
La2 0.000 0.500 0.312
Pm1 0.000 0.000 0.500
Pm2 0.000 0.300 0.500
Ho1 0.000 0.162 0.281
Ho2 0.000 0.340 0.102

Peak list (10 most intense, 2θ = 10–80°, sorted by position)
| hkl | two_theta | d (Å) | I_rel |
| --- | --- | --- | --- |
| 1 1 4 | 29.25 | 3.053 | 30.2 |
| 0 3 3 | 30.34 | 2.946 | 32.8 |
| 2 0 0 | 31.32 | 2.856 | 52.6 |
| 1 3 2 | 31.58 | 2.833 | 100.0 |
| 1 0 5 | 33.16 | 2.702 | 59.7 |
| 1 2 5 | 37.23 | 2.415 | 13.0 |
| 2 3 3 | 44.16 | 2.051 | 23.5 |
| 3 3 2 | 55.91 | 1.645 | 19.9 |
| 3 0 5 | 56.92 | 1.618 | 12.8 |
| 1 6 5 | 61.89 | 1.499 | 15.0 |

Entry 9:
For La2Pm4Ho5, a structure optimized by DFT (PBE) gives the computed powder diffraction line list in this record (Cu Kα).
No peak broadening, texture or thermal motion is included.

Structural model:
a = 24.198 Å, b = 3.543 Å, c = 8.763 Å
α = 90.00°, β = 94.16°, γ = 90.00°
Space group C2/m (No. 12)
One atom of each set of equivalent atoms:
La1 0.228 0.000 0.324
Pm1 0.042 0.500 0.841
Pm2 0.087 0.000 0.196
Ho1 0.000 0.000 0.500
Ho2 0.129 0.500 0.545
Ho3 0.185 0.500 0.972

Peak list (10 most intense, 2θ = 10–80°, sorted by position)
| hkl | two_theta | d (Å) | I_rel |
| --- | --- | --- | --- |
| 1 1 1 | 27.51 | 3.242 | 60.3 |
| 8 0 -1 | 30.64 | 2.917 | 100.0 |
| 2 0 -3 | 31.05 | 2.880 | 74.2 |
| 6 0 2 | 31.30 | 2.858 | 70.7 |
| 5 1 1 | 33.42 | 2.681 | 90.1 |
| 3 1 -2 | 33.94 | 2.641 | 81.4 |
| 3 1 4 | 51.09 | 1.788 | 42.7 |
| 11 1 3 | 60.57 | 1.529 | 26.1 |
| 5 1 -5 | 60.94 | 1.520 | 24.6 |
| 8 2 -1 | 61.21 | 1.514 | 28.0 |

Entry 10:
For La5PmHo6, a structure optimized by DFT (PBE) gives the computed powder diffraction line list in this record (Cu Kα).
No peak broadening, texture or thermal motion is included.

Structural model:
a = 5.215 Å, b = 9.967 Å, c = 15.576 Å
α = 90.00°, β = 90.00°, γ = 90.00°
Space group Immm (No. 71)
One atom of each set of equivalent atoms:
La1 0.000 0.000 0.000
La2 0.000 0.000 0.334
La3 0.000 0.500 0.333
Pm1 0.000 0.500 0.000
Ho1 0.000 0.249 0.500
Ho2 0.000 0.251 0.166

Peak list (10 most intense, 2θ = 10–80°, sorted by position)
| hkl | two_theta | d (Å) | I_rel |
| --- | --- | --- | --- |
| 1 2 3 | 30.19 | 2.960 | 100.0 |
| 2 0 0 | 34.39 | 2.608 | 17.7 |
| 0 0 6 | 34.55 | 2.596 | 17.5 |
| 0 4 0 | 36.04 | 2.492 | 15.6 |
| 2 0 6 | 49.55 | 1.840 | 12.7 |
| 2 4 0 | 50.67 | 1.802 | 11.9 |
| 3 2 3 | 59.02 | 1.565 | 15.0 |
| 1 2 9 | 59.23 | 1.560 | 14.8 |
| 1 6 3 | 61.22 | 1.514 | 13.4 |
| 2 4 6 | 62.78 | 1.480 | 12.4 |

Entry 11:
For La7PmHo4, a structure optimized by DFT (PBE) gives the computed powder diffraction line list in this record (Cu Kα).
No peak broadening, texture or thermal motion is included.

Structural model:
a = 6.422 Å, b = 7.377 Å, c = 9.081 Å
α = 90.02°, β = 103.55°, γ = 90.03°
Space group P-1 (No. 2)
One atom of each set of equivalent atoms:
La1 0.000 0.000 0.000
La2 0.222 0.500 0.666
La3 0.281 0.751 0.335
La4 0.499 0.754 0.996
Pm1 0.000 0.500 0.000
Ho1 0.219 0.999 0.664
Ho2 0.277 0.244 0.333

Peak list (10 most intense, 2θ = 10–80°, sorted by position)
| hkl | two_theta | d (Å) | I_rel |
| --- | --- | --- | --- |
| 1 -2 0 | 28.05 | 3.182 | 24.1 |
| 0 0 3 | 30.38 | 2.943 | 50.4 |
| 2 0 -2 | 31.02 | 2.883 | 100.0 |
| 2 0 1 | 32.59 | 2.748 | 30.4 |
| 1 2 -2 | 32.72 | 2.737 | 59.1 |
| 3 2 -1 | 49.21 | 1.851 | 26.4 |
| 0 4 0 | 49.42 | 1.844 | 13.0 |
| 2 0 -5 | 53.29 | 1.719 | 21.2 |
| -3 2 4 | 58.96 | 1.567 | 23.0 |
| 0 4 3 | 59.14 | 1.562 | 20.3 |

Entry 12:
For LaPm8Ho3, a structure optimized by DFT (PBE) gives the computed powder diffraction line list in this record (Cu Kα).
No peak broadening, texture or thermal motion is included.

Structural model:
a = 16.047 Å, b = 6.365 Å, c = 11.023 Å
α = 90.00°, β = 133.30°, γ = 90.00°
Space group C2 (No. 5)
One atom of each set of equivalent atoms:
La1 0.000 0.000 0.000
Pm1 0.000 0.004 0.336
Pm2 0.000 0.501 0.167
Pm3 0.248 0.668 0.913
Pm4 0.248 0.669 0.582
Ho1 0.000 0.499 0.500
Ho2 0.248 0.171 0.748

Peak list (10 most intense, 2θ = 10–80°, sorted by position)
| hkl | two_theta | d (Å) | I_rel |
| --- | --- | --- | --- |
| 3 1 -3 | 28.04 | 3.182 | 23.6 |
| 4 0 0 | 30.62 | 2.919 | 25.0 |
| 2 2 0 | 32.03 | 2.794 | 100.0 |
| 1 1 3 | 42.00 | 2.151 | 15.9 |
| 6 0 -6 | 49.62 | 1.837 | 19.6 |
| 6 2 0 | 55.33 | 1.660 | 21.2 |
| 1 3 3 | 59.44 | 1.555 | 22.8 |
| 8 2 -6 | 60.29 | 1.535 | 16.4 |
| 4 4 0 | 66.98 | 1.397 | 4.0 |
| 12 2 -6 | 77.51 | 1.232 | 5.2 |